# RbAgAsI6
Calculated XRD peak list, Cu Kα, 1.54184 Å. Input: a crystal structure in Alexandria, relaxed with PBE.
No peak broadening, texture or thermal motion is included.

Largest 10 diffraction maxima, in order of rising 2θ, 2θ = 10–90°:
2θ 11.63, I = 56, hkl 0 0 1
2θ 21.63, I = 49, hkl 1 1 -1
2θ 23.64, I = 38, hkl 0 1 -2
2θ 24.33, I = 42, hkl 2 -1 0
2θ 25.00, I = 53, hkl 1 0 -2
2θ 26.39, I = 45, hkl 1 -1 2
2θ 26.80, I = 53, hkl 1 1 1
2θ 29.26, I = 100, hkl -1 2 1
2θ 32.50, I = 53, hkl 2 1 -1
2θ 34.34, I = 41, hkl 2 -1 2

Structure:
```
data_RbAgAsI6
_space_group_name_H-M_alt 'P 1'
_space_group_IT_number 1
_cell_length_a 7.4179
_cell_length_b 7.5222
_cell_length_c 7.8899
_cell_angle_alpha 102.82
_cell_angle_beta 93.54
_cell_angle_gamma 109.68
loop_
_space_group_symop_operation_xyz
'x,y,z'
loop_
_atom_site_label
_atom_site_fract_x
_atom_site_fract_y
_atom_site_fract_z
Rb1 0.0000 0.0000 0.0000
Ag1 0.6944 0.1591 0.5920
As1 0.4062 0.5461 0.5114
I1 0.1090 0.3233 0.6874
I2 0.1421 0.5448 0.2599
I3 0.4337 0.9003 0.7781
I4 0.4767 0.2225 0.2976
I5 0.6596 0.4901 0.8139
I6 0.7337 0.8105 0.4018
```